Sr3Fe2O4F4: simulated XRD peak list (Cu Kα X-rays), based on a structure optimized by DFT (GGA+U).
Intensities are scaled so that the largest is 100.

Most intense lines, 2θ from 10° to 90°, in order of rising 2θ:
2theta, intensity
29.9, 100.0
31.9, 77.5
35.8, 35.2
40.0, 52.4
45.7, 59.1
48.3, 19.7
55.6, 34.8
59.0, 20.6
66.6, 17.1
68.6, 24.8

Structure:
```
13
Lattice="-1.986 1.986 11.314 1.986 -1.986 11.314 1.986 1.986 -11.314" Properties=species:S:1:pos:R:3 pbc="T T T"
Sr 0.000 0.000 0.000
Sr 0.000 0.000 3.888
Sr 0.000 0.000 18.739
Fe 0.000 0.000 9.252
Fe 0.000 0.000 13.376
O 1.986 0.000 2.087
O 1.986 0.000 9.227
O 0.000 1.986 1.954
O 0.000 1.986 9.360
F 0.000 0.000 7.253
F 0.000 0.000 11.314
F 0.000 0.000 15.375
F 0.000 1.986 5.657
```